Tb2Fe17C3: calculated PXRD pattern (a wavelength of 1.5418 Å), based on a GGA-PBE-relaxed structure.
Lines closer than 0.1° are merged.

Cell and atoms:
Cell: 8.6475 8.6475 12.4979 Å, 90.00 90.00 120.00°
Space group R-3m (No. 166, hexagonal axes)
Asymmetric unit:
Tb  0.0000  0.0000  0.1572 (multiplicity 6)
Fe  0.0000  0.0000  0.4047 (multiplicity 6)
Fe  0.0000  0.2833  0.5000 (multiplicity 18)
Fe  0.0000  0.5000  0.0000 (multiplicity 9)
Fe  0.0084  0.5042  0.3476 (multiplicity 18)
C  0.0000  0.5000  0.5000 (multiplicity 9)

Largest 10 diffraction maxima, sorted by position, 10° ≤ 2θ ≤ 90°:
- hkl 1 1 3, d = 3.000 Å, intensity 43
- hkl 3 0 0, d = 2.496 Å, intensity 40
- hkl 0 2 4, d = 2.399 Å, intensity 31
- hkl 2 2 0, d = 2.162 Å, intensity 76
- hkl 3 0 3, d = 2.141 Å, intensity 100
- hkl 2 1 4, d = 2.098 Å, intensity 21
- hkl 0 0 6, d = 2.082 Å, intensity 49
- hkl 1 4 3, d = 1.521 Å, intensity 21
- hkl 2 2 6, d = 1.500 Å, intensity 19
- hkl 6 0 0, d = 1.248 Å, intensity 17